Record 1
Calculated powder diffraction line list of Cu5AgF12 for copper Kα, from DFT lattice parameters and positions (GGA-PBE).
Neutral-atom scattering factors, no anomalous dispersion.

Structure:
Unit cell a=5.669 b=5.669 c=8.847 alpha=90.00 beta=90.00 gamma=122.51
Fractional positions:
Cu: 0.000 0.000 0.000
Cu: 0.169 0.831 0.500
Cu: 0.334 0.666 0.000
Cu: 0.666 0.334 0.000
Cu: 0.831 0.169 0.500
Ag: 0.500 0.500 0.500
F: 0.010 0.339 0.099
F: 0.118 0.491 0.617
F: 0.137 0.137 0.389
F: 0.329 0.329 0.895
F: 0.339 0.010 0.099
F: 0.491 0.118 0.617
F: 0.509 0.882 0.383
F: 0.661 0.990 0.901
F: 0.671 0.671 0.105
F: 0.863 0.863 0.611
F: 0.882 0.509 0.383
F: 0.990 0.661 0.901

Peak list (8 most intense, 10° ≤ 2θ ≤ 80°, low angle first)
20.1°, intensity 100; 33.2°, intensity 60; 37.7°, intensity 12; 38.8°, intensity 26; 44.3°, intensity 47; 53.3°, intensity 17; 58.9°, intensity 28; 61.8°, intensity 19


Record 2
Calculated powder diffraction line list of CuAg2F3 for copper Kα, from DFT lattice parameters and positions (GGA-PBE).
Neutral-atom scattering factors, no anomalous dispersion.

Structure:
Unit cell a=6.049 b=6.049 c=5.395 alpha=90.00 beta=90.00 gamma=72.72
Fractional positions:
Cu: 0.184 0.816 0.500
Cu: 0.816 0.184 0.000
Ag: 0.162 0.552 0.908
Ag: 0.448 0.838 0.908
Ag: 0.552 0.162 0.408
Ag: 0.838 0.448 0.408
F: 0.056 0.944 0.141
F: 0.219 0.483 0.375
F: 0.483 0.219 0.875
F: 0.517 0.781 0.375
F: 0.781 0.517 0.875
F: 0.944 0.056 0.641

Peak list (8 most intense, 10° ≤ 2θ ≤ 80°, low angle first)
22.6°, intensity 27; 24.8°, intensity 54; 29.9°, intensity 33; 30.2°, intensity 30; 33.2°, intensity 44; 34.6°, intensity 100; 41.9°, intensity 27; 47.2°, intensity 28


Record 3
Calculated powder diffraction line list of CuAgHg2F6 for copper Kα, from DFT lattice parameters and positions (GGA-PBE).
Neutral-atom scattering factors, no anomalous dispersion.

Structure:
Unit cell a=5.732 b=5.889 c=5.925 alpha=63.34 beta=63.38 gamma=63.86
Fractional positions:
Cu: 0.000 0.000 0.000
Ag: 0.537 0.544 0.551
Hg: 0.302 0.289 0.291
Hg: 0.766 0.771 0.755
F: 0.137 0.700 0.377
F: 0.169 0.646 0.920
F: 0.341 0.104 0.761
F: 0.639 0.915 0.171
F: 0.764 0.348 0.072
F: 0.912 0.168 0.580

Peak list (8 most intense, 10° ≤ 2θ ≤ 80°, low angle first)
28.8°, intensity 100; 29.1°, intensity 93; 29.2°, intensity 93; 30.3°, intensity 85; 30.5°, intensity 76; 31.3°, intensity 72; 42.1°, intensity 38; 51.8°, intensity 62


Record 4
Calculated powder diffraction line list of HoCu2AgF8 for copper Kα, from DFT lattice parameters and positions (GGA-PBE).
Neutral-atom scattering factors, no anomalous dispersion.

Structure:
Unit cell a=6.594 b=6.594 c=6.594 alpha=130.39 beta=130.39 gamma=72.78
Fractional positions:
Ho: 0.000 0.000 0.000
Cu: 0.500 0.500 0.000
Cu: 0.750 0.250 0.500
Ag: 0.250 0.750 0.500
F: 0.266 0.724 0.100
F: 0.276 0.376 0.542
F: 0.384 0.051 0.072
F: 0.624 0.166 0.900
F: 0.688 0.616 0.667
F: 0.834 0.734 0.458
F: 0.949 0.021 0.333
F: 0.979 0.312 0.928

Peak list (8 most intense, 10° ≤ 2θ ≤ 80°, low angle first)
18.1°, intensity 21; 28.3°, intensity 100; 32.4°, intensity 22; 33.8°, intensity 17; 46.4°, intensity 17; 47.5°, intensity 25; 55.3°, intensity 37; 57.1°, intensity 17